Entry 1:
Zr4GeAu: simulated X-ray powder pattern (Cu Ka), based on a structure optimized by DFT (PBE).

Most intense lines, 2θ from 5° to 70°, most intense first:
33.9°, intensity 100; 42.6°, intensity 74; 37.4°, intensity 71; 42.1°, intensity 57; 13.2°, intensity 34; 68.2°, intensity 31

Crystal structure
```
Zr4GeAu
1.0
6.707 0.000 0.000
0.000 6.707 0.000
0.000 0.000 5.586
Zr Ge Au
8 2 2
direct
0.151 0.340 0.000 Zr
0.151 0.660 0.500 Zr
0.340 0.151 0.500 Zr
0.340 0.849 0.000 Zr
0.660 0.151 0.000 Zr
0.660 0.849 0.500 Zr
0.849 0.340 0.500 Zr
0.849 0.660 0.000 Zr
0.000 0.000 0.250 Ge
0.000 0.000 0.750 Ge
0.500 0.500 0.250 Au
0.500 0.500 0.750 Au
```

---

Entry 2:
Sm7ErTm2: simulated X-ray powder pattern (Cu Ka), based on a structure optimized by DFT (PBE).

Most intense lines, 2θ from 5° to 70°, most intense first:
30.5°, intensity 100; 35.4°, intensity 67; 50.9°, intensity 40; 60.6°, intensity 38; 30.6°, intensity 33; 60.5°, intensity 19

Crystal structure
```
Sm7ErTm2
1.0
6.207 0.000 0.000
-1.022 6.124 0.000
-3.097 -2.601 8.580
Sm Er Tm
7 1 2
direct
0.000 0.000 0.000 Sm
0.198 0.999 0.399 Sm
0.201 0.503 0.900 Sm
0.403 0.501 0.301 Sm
0.597 0.499 0.699 Sm
0.799 0.497 0.100 Sm
0.802 0.001 0.601 Sm
0.000 0.500 0.500 Er
0.400 0.999 0.800 Tm
0.600 0.001 0.200 Tm
```

---

Entry 3:
AcGa2SiIr: simulated X-ray powder pattern (Cu Ka), based on a structure optimized by DFT (PBE).

Most intense lines, 2θ from 5° to 70°, most intense first:
33.9°, intensity 100; 32.2°, intensity 30; 22.5°, intensity 26; 41.8°, intensity 20; 42.6°, intensity 19; 59.4°, intensity 18

Crystal structure
```
AcGa2SiIr
1.0
-2.120 2.160 5.447
2.120 -2.160 5.447
2.120 2.160 -5.447
Ac Ga Si Ir
1 2 1 1
direct
0.000 0.000 0.000 Ac
0.621 0.621 0.000 Ga
0.751 0.251 0.500 Ga
0.375 0.375 0.000 Si
0.260 0.760 0.500 Ir
```

---

Entry 4:
Rb3TaPb2S6: simulated X-ray powder pattern (Cu Ka), based on a structure optimized by DFT (PBE).

Most intense lines, 2θ from 5° to 70°, most intense first:
29.4°, intensity 100; 25.9°, intensity 59; 11.8°, intensity 42; 40.8°, intensity 36; 23.8°, intensity 26; 43.4°, intensity 22

Crystal structure
```
Rb3TaPb2S6
1.0
3.618 -6.246 0.000
3.618 6.246 0.000
-2.424 0.000 7.471
Rb Ta Pb S
3 1 2 6
direct
0.000 0.000 0.000 Rb
0.325 0.675 0.000 Rb
0.675 0.325 0.000 Rb
0.500 0.500 0.500 Ta
0.166 0.834 0.500 Pb
0.834 0.166 0.500 Pb
0.151 0.437 0.310 S
0.281 0.281 0.692 S
0.437 0.151 0.310 S
0.563 0.849 0.690 S
0.719 0.719 0.308 S
0.849 0.563 0.690 S
```

---

Entry 5:
CsCO2F2: simulated X-ray powder pattern (Cu Ka), based on a structure optimized by DFT (PBE).

Most intense lines, 2θ from 5° to 70°, most intense first:
23.5°, intensity 100; 26.1°, intensity 81; 24.1°, intensity 69; 38.2°, intensity 55; 38.9°, intensity 47; 38.7°, intensity 45

Crystal structure
```
CsCO2F2
1.0
9.788 0.000 0.000
0.000 5.954 0.000
0.000 0.000 7.972
Cs C O F
4 4 8 8
direct
0.180 0.250 0.161 Cs
0.320 0.750 0.661 Cs
0.680 0.250 0.339 Cs
0.820 0.750 0.839 Cs
0.067 0.250 0.692 C
0.433 0.750 0.192 C
0.567 0.250 0.808 C
0.933 0.750 0.308 C
0.076 0.073 0.788 O
0.076 0.427 0.788 O
0.424 0.573 0.288 O
0.424 0.927 0.288 O
0.576 0.073 0.712 O
0.576 0.427 0.712 O
0.924 0.573 0.212 O
0.924 0.927 0.212 O
0.054 0.750 0.410 F
0.172 0.250 0.561 F
0.328 0.750 0.061 F
0.446 0.250 0.910 F
0.554 0.750 0.090 F
0.672 0.250 0.939 F
0.828 0.750 0.439 F
0.946 0.250 0.590 F
```

---

Entry 6:
ErHf11: simulated X-ray powder pattern (Cu Ka), based on a structure optimized by DFT (PBE).

Most intense lines, 2θ from 5° to 70°, most intense first:
35.6°, intensity 100; 35.2°, intensity 53; 33.6°, intensity 26; 39.6°, intensity 19; 51.0°, intensity 18; 63.7°, intensity 18

Crystal structure
```
ErHf11
1.0
10.087 0.000 0.000
-5.043 8.735 0.000
0.000 0.000 3.137
Er Hf
1 11
direct
0.000 0.000 0.000 Er
0.000 0.500 0.000 Hf
0.177 0.354 0.500 Hf
0.177 0.823 0.500 Hf
0.333 0.667 0.000 Hf
0.354 0.177 0.500 Hf
0.500 0.000 0.000 Hf
0.500 0.500 0.000 Hf
0.646 0.823 0.500 Hf
0.667 0.333 0.000 Hf
0.823 0.177 0.500 Hf
0.823 0.646 0.500 Hf
```

---

Entry 7:
LiPu2TeO2: simulated X-ray powder pattern (Cu Ka), based on a structure optimized by DFT (PBE).

Most intense lines, 2θ from 5° to 70°, most intense first:
29.8°, intensity 100; 31.1°, intensity 97; 34.1°, intensity 59; 24.7°, intensity 59; 52.5°, intensity 42; 57.7°, intensity 33

Crystal structure
```
LiPu2TeO2
1.0
4.284 0.000 0.000
0.000 2.031 6.660
0.000 -2.031 6.660
Li Pu Te O
1 2 1 2
direct
0.000 0.000 0.000 Li
0.000 0.738 0.738 Pu
0.500 0.397 0.397 Pu
0.500 0.103 0.103 Te
0.000 0.333 0.333 O
0.500 0.817 0.817 O
```

---

Entry 8:
Mn2AgH: simulated X-ray powder pattern (Cu Ka), based on a structure optimized by DFT (PBE).

Most intense lines, 2θ from 5° to 70°, most intense first:
39.5°, intensity 100; 33.5°, intensity 57; 63.9°, intensity 22; 41.3°, intensity 20; 59.9°, intensity 20; 64.0°, intensity 7

Crystal structure
```
Mn2AgH
1.0
-2.677 2.677 3.776
2.677 -2.677 3.776
2.677 2.677 -3.776
Mn Ag H
4 2 2
direct
0.000 0.000 0.000 Mn
0.000 0.000 0.500 Mn
0.000 0.500 0.000 Mn
0.500 0.000 0.500 Mn
0.375 0.625 0.750 Ag
0.625 0.375 0.250 Ag
0.125 0.875 0.250 H
0.875 0.125 0.750 H
```

---

Entry 9:
Tb3Y3Mg: simulated X-ray powder pattern (Cu Ka), based on a structure optimized by DFT (PBE).

Most intense lines, 2θ from 5° to 70°, most intense first:
33.0°, intensity 100; 31.8°, intensity 24; 28.8°, intensity 23; 10.8°, intensity 23; 61.5°, intensity 22; 57.4°, intensity 20

Crystal structure
```
Tb3Y3Mg
1.0
9.456 0.000 0.000
-4.728 8.189 0.000
0.000 0.000 5.627
Tb Y Mg
6 6 2
direct
0.057 0.817 0.250 Tb
0.183 0.240 0.250 Tb
0.240 0.057 0.750 Tb
0.760 0.943 0.250 Tb
0.817 0.760 0.750 Tb
0.943 0.183 0.750 Tb
0.103 0.626 0.750 Y
0.374 0.476 0.750 Y
0.476 0.103 0.250 Y
0.524 0.897 0.750 Y
0.626 0.524 0.250 Y
0.897 0.374 0.250 Y
0.333 0.667 0.250 Mg
0.667 0.333 0.750 Mg
```

---

Entry 10:
TbAl4Sn: simulated X-ray powder pattern (Cu Ka), based on a structure optimized by DFT (PBE).

Most intense lines, 2θ from 5° to 70°, most intense first:
37.9°, intensity 100; 32.2°, intensity 95; 19.5°, intensity 56; 57.4°, intensity 37; 61.2°, intensity 33; 67.3°, intensity 22

Crystal structure
```
TbAl4Sn
1.0
0.000 3.935 3.935
3.935 0.000 3.935
3.935 3.935 0.000
Tb Al Sn
1 4 1
direct
0.000 0.000 0.000 Tb
0.375 0.375 0.375 Al
0.375 0.375 0.875 Al
0.375 0.875 0.375 Al
0.875 0.375 0.375 Al
0.750 0.750 0.750 Sn
```

---

Entry 11:
La2Pm8Th: simulated X-ray powder pattern (Cu Ka), based on a structure optimized by DFT (PBE).

Most intense lines, 2θ from 5° to 70°, most intense first:
29.9°, intensity 100; 34.6°, intensity 51; 49.8°, intensity 30; 59.2°, intensity 22; 59.1°, intensity 21; 62.1°, intensity 6

Crystal structure
```
La2Pm8Th
1.0
9.333 -2.588 0.000
9.333 2.588 0.000
-2.139 0.000 7.913
La Pm Th
2 8 1
direct
0.228 0.228 0.136 La
0.772 0.772 0.864 La
0.043 0.043 0.233 Pm
0.133 0.133 0.674 Pm
0.321 0.321 0.594 Pm
0.411 0.411 0.051 Pm
0.589 0.589 0.949 Pm
0.679 0.679 0.406 Pm
0.867 0.867 0.326 Pm
0.957 0.957 0.767 Pm
0.500 0.500 0.500 Th
```

---

Entry 12:
HoBeF6: simulated X-ray powder pattern (Cu Ka), based on a structure optimized by DFT (PBE).

Most intense lines, 2θ from 5° to 70°, most intense first:
21.4°, intensity 100; 26.9°, intensity 81; 19.3°, intensity 66; 30.9°, intensity 59; 43.6°, intensity 55; 26.3°, intensity 46

Crystal structure
```
HoBeF6
1.0
2.666 -3.392 0.000
2.666 3.392 0.000
-0.798 0.000 4.598
Ho Be F
1 1 6
direct
0.000 0.000 0.000 Ho
0.500 0.500 0.500 Be
0.189 0.530 0.232 F
0.227 0.227 0.644 F
0.470 0.811 0.768 F
0.530 0.189 0.232 F
0.773 0.773 0.356 F
0.811 0.470 0.768 F
```